(1)
# Sc2MnAl3
Computed PXRD pattern, Cu Kα (λ = 1.5418 Å). Input: DFT lattice parameters and positions (GGA-PBE).
Neutral-atom scattering factors, no anomalous dispersion.

Main lines, in order of rising 2θ (2θ from 5° to 70°):
33.50 deg, I = 527
39.87 deg, I = 1000
40.53 deg, I = 429
41.49 deg, I = 364
64.19 deg, I = 218
64.66 deg, I = 192

Structure:
Cell lengths 5.2378, 5.2378, 5.2378 Å; angles 61.43, 61.43, 61.43 degrees
Sites, in units of the cell vectors:
Sc 0.1273 0.1273 0.1273
Sc 0.8727 0.8727 0.8727
Mn 0.5000 0.5000 0.5000
Al 0.0000 0.5000 0.5000
Al 0.5000 0.0000 0.5000
Al 0.5000 0.5000 0.0000

(2)
# MnAl8Si2
Computed PXRD pattern, Cu Kα (λ = 1.5418 Å). Input: DFT lattice parameters and positions (GGA-PBE).
Neutral-atom scattering factors, no anomalous dispersion.

Main lines, in order of rising 2θ (2θ from 5° to 70°):
14.04 deg, I = 144
29.79 deg, I = 107
40.37 deg, I = 1000
45.16 deg, I = 166
46.45 deg, I = 169
49.21 deg, I = 140

Structure:
Cell lengths 7.3360, 7.3360, 7.3360 Å; angles 149.09, 119.36, 69.62 degrees
Sites, in units of the cell vectors:
Mn 0.0000 0.0000 0.0000
Al 0.0986 0.8400 0.2586
Al 0.1662 0.6662 0.5000
Al 0.2500 0.5000 0.7500
Al 0.4186 0.1600 0.2586
Al 0.5814 0.8400 0.7414
Al 0.7500 0.5000 0.2500
Al 0.8338 0.3338 0.5000
Al 0.9014 0.1600 0.7414
Si 0.3518 0.3518 0.0000
Si 0.6482 0.6482 0.0000

(3)
# Ta2Mn5AlSi2
Computed PXRD pattern, Cu Kα (λ = 1.5418 Å). Input: DFT lattice parameters and positions (GGA-PBE).
Neutral-atom scattering factors, no anomalous dispersion.

Main lines, in order of rising 2θ (2θ from 5° to 70°):
22.37 deg, I = 490
33.18 deg, I = 347
34.73 deg, I = 1000
41.70 deg, I = 876
41.92 deg, I = 796
43.20 deg, I = 376

Structure:
Cell lengths 8.8854, 8.8854, 3.3994 Å; angles 90.00, 90.00, 90.00 degrees
Sites, in units of the cell vectors:
Ta 0.1748 0.3252 0.0000
Ta 0.3252 0.8252 0.0000
Ta 0.6748 0.1748 0.0000
Ta 0.8252 0.6748 0.0000
Mn 0.0000 0.5000 0.5000
Mn 0.0644 0.7908 0.5000
Mn 0.2092 0.0644 0.5000
Mn 0.2908 0.5644 0.5000
Mn 0.4356 0.2908 0.5000
Mn 0.5000 0.0000 0.5000
Mn 0.5644 0.7092 0.5000
Mn 0.7092 0.4356 0.5000
Mn 0.7908 0.9356 0.5000
Mn 0.9356 0.2092 0.5000
Al 0.0000 0.0000 0.0000
Al 0.5000 0.5000 0.0000
Si 0.1220 0.6220 0.0000
Si 0.3780 0.1220 0.0000
Si 0.6220 0.8780 0.0000
Si 0.8780 0.3780 0.0000

(4)
# ThMnAlSi2
Computed PXRD pattern, Cu Kα (λ = 1.5418 Å). Input: DFT lattice parameters and positions (GGA-PBE).
Neutral-atom scattering factors, no anomalous dispersion.

Main lines, in order of rising 2θ (2θ from 5° to 70°):
16.25 deg, I = 352
23.78 deg, I = 916
33.36 deg, I = 797
35.88 deg, I = 1000
47.51 deg, I = 353
57.61 deg, I = 341

Structure:
Cell lengths 6.1399, 6.1399, 6.1399 Å; angles 142.14, 142.14, 54.62 degrees
Sites, in units of the cell vectors:
Th 0.0000 0.0000 0.0000
Mn 0.2500 0.7500 0.5000
Al 0.7500 0.2500 0.5000
Si 0.3871 0.3871 0.0000
Si 0.6129 0.6129 0.0000

(5)
# TaMn6Al12
Computed PXRD pattern, Cu Kα (λ = 1.5418 Å). Input: DFT lattice parameters and positions (GGA-PBE).
Neutral-atom scattering factors, no anomalous dispersion.

Main lines, in order of rising 2θ (2θ from 5° to 70°):
21.58 deg, I = 599
26.51 deg, I = 318
37.85 deg, I = 220
41.01 deg, I = 1000
46.80 deg, I = 291
57.02 deg, I = 341

Structure:
Cell lengths 7.1317, 7.1317, 7.1317 Å; angles 109.47, 109.47, 109.47 degrees
Sites, in units of the cell vectors:
Ta 0.0000 0.0000 0.0000
Mn 0.1335 0.6335 0.5000
Mn 0.3665 0.5000 0.8665
Mn 0.5000 0.1335 0.6335
Mn 0.5000 0.8665 0.3665
Mn 0.6335 0.5000 0.1335
Mn 0.8665 0.3665 0.5000
Al 0.0914 0.8157 0.2757
Al 0.1843 0.2757 0.4600
Al 0.1843 0.7243 0.9086
Al 0.2757 0.0914 0.8157
Al 0.2757 0.4600 0.1843
Al 0.4600 0.1843 0.2757
Al 0.5400 0.8157 0.7243
Al 0.7243 0.5400 0.8157
Al 0.7243 0.9086 0.1843
Al 0.8157 0.2757 0.0914
Al 0.8157 0.7243 0.5400
Al 0.9086 0.1843 0.7243

(6)
# TaMn2AlW
Computed PXRD pattern, Cu Kα (λ = 1.5418 Å). Input: DFT lattice parameters and positions (GGA-PBE).
Neutral-atom scattering factors, no anomalous dispersion.

Main lines, in order of rising 2θ (2θ from 5° to 70°):
19.55 deg, I = 1000
27.79 deg, I = 291
39.71 deg, I = 378
41.67 deg, I = 296
44.63 deg, I = 244
54.98 deg, I = 290

Structure:
Cell lengths 4.5399, 4.5399, 4.9328 Å; angles 90.00, 90.00, 90.00 degrees
Sites, in units of the cell vectors:
Ta 0.0000 0.0000 0.0000
Mn 0.0000 0.5000 0.5000
Mn 0.5000 0.0000 0.5000
Al 0.5000 0.5000 0.0000
W 0.0000 0.0000 0.5000

(7)
# Tb2MnAl8
Computed PXRD pattern, Cu Kα (λ = 1.5418 Å). Input: DFT lattice parameters and positions (GGA-PBE).
Neutral-atom scattering factors, no anomalous dispersion.

Main lines, in order of rising 2θ (2θ from 5° to 70°):
20.92 deg, I = 901
29.75 deg, I = 259
31.74 deg, I = 527
33.80 deg, I = 433
38.32 deg, I = 1000
42.58 deg, I = 488

Structure:
Cell lengths 4.2463, 4.2463, 11.3100 Å; angles 90.00, 90.00, 90.00 degrees
Sites, in units of the cell vectors:
Tb 0.0000 0.0000 0.1921
Tb 0.0000 0.0000 0.8079
Mn 0.0000 0.0000 0.5000
Al 0.0000 0.5000 0.0000
Al 0.0000 0.5000 0.3828
Al 0.0000 0.5000 0.6172
Al 0.5000 0.0000 0.0000
Al 0.5000 0.0000 0.3828
Al 0.5000 0.0000 0.6172
Al 0.5000 0.5000 0.1896
Al 0.5000 0.5000 0.8104

(8)
# TbMnAl6
Computed PXRD pattern, Cu Kα (λ = 1.5418 Å). Input: DFT lattice parameters and positions (GGA-PBE).
Neutral-atom scattering factors, no anomalous dispersion.

Main lines, in order of rising 2θ (2θ from 5° to 70°):
18.20 deg, I = 277
19.23 deg, I = 1000
31.17 deg, I = 646
33.03 deg, I = 528
39.03 deg, I = 664
41.92 deg, I = 769

Structure:
Cell lengths 5.7102, 5.7102, 5.7102 Å; angles 107.86, 107.86, 107.86 degrees
Sites, in units of the cell vectors:
Tb 0.0000 0.0000 0.0000
Mn 0.5000 0.5000 0.5000
Al 0.2292 0.2292 0.6608
Al 0.2292 0.6608 0.2292
Al 0.3392 0.7708 0.7708
Al 0.6608 0.2292 0.2292
Al 0.7708 0.3392 0.7708
Al 0.7708 0.7708 0.3392

(9)
# MnAlTc
Computed PXRD pattern, Cu Kα (λ = 1.5418 Å). Input: DFT lattice parameters and positions (GGA-PBE).
Neutral-atom scattering factors, no anomalous dispersion.

Main lines, in order of rising 2θ (2θ from 5° to 70°):
20.39 deg, I = 207
30.97 deg, I = 244
41.38 deg, I = 303
42.10 deg, I = 266
42.93 deg, I = 1000
60.51 deg, I = 189

Structure:
Cell lengths 4.8561, 4.8561, 4.3646 Å; angles 90.00, 90.00, 127.54 degrees
Sites, in units of the cell vectors:
Mn 0.0896 0.9104 0.7500
Mn 0.9104 0.0896 0.2500
Al 0.4179 0.5821 0.7500
Al 0.5821 0.4179 0.2500
Tc 0.2512 0.7488 0.2500
Tc 0.7488 0.2512 0.7500

(10)
# Ti5MnAl2Tc2
Computed PXRD pattern, Cu Kα (λ = 1.5418 Å). Input: DFT lattice parameters and positions (GGA-PBE).
Neutral-atom scattering factors, no anomalous dispersion.

Main lines, in order of rising 2θ (2θ from 5° to 70°):
19.47 deg, I = 746
37.44 deg, I = 158
39.54 deg, I = 119
40.00 deg, I = 1000
42.97 deg, I = 363
48.07 deg, I = 158

Structure:
Cell lengths 10.1922, 10.1922, 3.1530 Å; angles 90.00, 90.00, 90.00 degrees
Sites, in units of the cell vectors:
Ti 0.0000 0.5000 0.0000
Ti 0.0708 0.1850 0.0000
Ti 0.1850 0.9292 0.0000
Ti 0.3150 0.4292 0.0000
Ti 0.4292 0.6850 0.0000
Ti 0.5000 0.0000 0.0000
Ti 0.5708 0.3150 0.0000
Ti 0.6850 0.5708 0.0000
Ti 0.8150 0.0708 0.0000
Ti 0.9292 0.8150 0.0000
Mn 0.0000 0.0000 0.5000
Mn 0.5000 0.5000 0.5000
Al 0.1709 0.6709 0.5000
Al 0.3291 0.1709 0.5000
Al 0.6709 0.8291 0.5000
Al 0.8291 0.3291 0.5000
Tc 0.1349 0.3651 0.5000
Tc 0.3651 0.8651 0.5000
Tc 0.6349 0.1349 0.5000
Tc 0.8651 0.6349 0.5000

(11)
# Mn2AlTeW
Computed PXRD pattern, Cu Kα (λ = 1.5418 Å). Input: DFT lattice parameters and positions (GGA-PBE).
Neutral-atom scattering factors, no anomalous dispersion.

Main lines, in order of rising 2θ (2θ from 5° to 70°):
26.87 deg, I = 1000
33.68 deg, I = 282
36.12 deg, I = 296
40.49 deg, I = 429
49.27 deg, I = 387
55.37 deg, I = 338

Structure:
Cell lengths 4.4553, 4.4553, 4.9731 Å; angles 90.00, 90.00, 90.00 degrees
Sites, in units of the cell vectors:
Mn 0.0000 0.5000 0.0000
Mn 0.5000 0.0000 0.0000
Al 0.0000 0.0000 0.5000
Te 0.0000 0.0000 0.0000
W 0.5000 0.5000 0.5000

(12)
# ThMn2Al10
Computed PXRD pattern, Cu Kα (λ = 1.5418 Å). Input: DFT lattice parameters and positions (GGA-PBE).
Neutral-atom scattering factors, no anomalous dispersion.

Main lines, in order of rising 2θ (2θ from 5° to 70°):
13.07 deg, I = 544
16.31 deg, I = 628
27.86 deg, I = 510
28.11 deg, I = 540
39.93 deg, I = 1000
40.40 deg, I = 816

Structure:
Cell lengths 6.8309, 6.8309, 9.0991 Å; angles 90.00, 90.00, 97.37 degrees
Sites, in units of the cell vectors:
Th 0.1249 0.8751 0.7500
Th 0.8751 0.1249 0.2500
Mn 0.0000 0.5000 0.0000
Mn 0.0000 0.5000 0.5000
Mn 0.5000 0.0000 0.0000
Mn 0.5000 0.0000 0.5000
Al 0.1326 0.4081 0.7500
Al 0.1604 0.8396 0.0982
Al 0.1604 0.8396 0.4018
Al 0.2193 0.4782 0.2500
Al 0.2300 0.2300 0.0000
Al 0.2300 0.2300 0.5000
Al 0.3761 0.6239 0.5465
Al 0.3761 0.6239 0.9535
Al 0.4081 0.1326 0.2500
Al 0.4782 0.2193 0.7500
Al 0.5218 0.7807 0.2500
Al 0.5919 0.8674 0.7500
Al 0.6239 0.3761 0.0465
Al 0.6239 0.3761 0.4535
Al 0.7700 0.7700 0.0000
Al 0.7700 0.7700 0.5000
Al 0.7807 0.5218 0.7500
Al 0.8396 0.1604 0.5982
Al 0.8396 0.1604 0.9018
Al 0.8674 0.5919 0.2500